[1]
The following is a simulated powder X-ray diffraction pattern of CrReO4. It was derived from a structure optimized by DFT (PBE+U), using a wavelength of 1.5418 Å.
Peak positions follow from Bragg's law for the DFT cell and can differ from measured ones.

Cell and atoms:
Cell: 9.412 5.778 4.751 Å, 90.00 92.29 90.00°
Space group C2/m (No. 12)
Symmetry-distinct sites (fractional):
Cr  0.237  0.000  0.007
Re  0.000  0.278  0.500
O  0.091  0.000  0.317
O  0.116  0.500  0.287
O  0.145  0.261  0.798

Peak list (10 most intense, 10 to 90 degrees two-theta, in order of rising 2θ)
h k l	two_theta	d (Å)	intensity
0 0 1	18.69	4.748	50
2 0 0	18.87	4.702	49
2 0 -1	26.13	3.410	83
2 0 1	27.22	3.276	74
2 2 0	36.45	2.465	100
2 2 -1	40.94	2.204	27
2 2 -2	53.03	1.727	22
4 2 -1	53.25	1.720	22
2 2 2	54.24	1.691	20
4 2 1	54.45	1.685	21



[2]
The following is a simulated powder X-ray diffraction pattern of CrReO4. It was derived from a structure optimized by DFT (PBE+U), using a wavelength of 1.5418 Å.
Peak positions follow from Bragg's law for the DFT cell and can differ from measured ones.

Cell and atoms:
Cell: 6.582 13.669 5.751 Å, 90.00 90.00 90.00°
Space group Ama2 (No. 40)
Symmetry-distinct sites (fractional):
Cr  0.250  0.118  0.000
Cr  0.250  0.135  0.500
Re  0.250  0.376  0.222
Re  0.250  0.376  0.776
O  0.042  0.125  0.743
O  0.042  0.126  0.257
O  0.250  0.264  0.000
O  0.250  0.284  0.500
O  0.250  0.468  0.499
O  0.250  0.487  0.999

Peak list (10 most intense, 10 to 90 degrees two-theta, in order of rising 2θ)
h k l	two_theta	d (Å)	intensity
1 2 0	18.72	4.741	100
0 4 0	26.08	3.417	82
2 0 0	27.09	3.291	74
1 2 2	36.55	2.459	100
2 4 0	37.96	2.370	34
0 4 2	41.02	2.200	27
3 2 0	43.31	2.089	19
1 6 2	53.15	1.723	43
3 2 2	54.28	1.690	41
3 6 2	67.65	1.385	25



[3]
The following is a simulated powder X-ray diffraction pattern of Cr2ReO6. It was derived from a structure optimized by DFT (PBE+U), using a wavelength of 1.5418 Å.
Peak positions follow from Bragg's law for the DFT cell and can differ from measured ones.

Cell and atoms:
Cell: 4.610 4.610 9.160 Å, 90.00 90.00 90.00°
Space group P4_2/mnm (No. 136)
Symmetry-distinct sites (fractional):
Cr  0.000  0.000  0.166
Re  0.000  0.000  0.500
O  0.192  0.192  0.338
O  0.205  0.205  0.000

Peak list (10 most intense, 10 to 90 degrees two-theta, in order of rising 2θ)
h k l	two_theta	d (Å)	intensity
0 0 2	19.38	4.580	21
1 0 1	21.58	4.118	65
1 1 0	27.36	3.260	100
1 1 2	33.75	2.656	21
1 0 3	35.26	2.546	74
2 0 0	39.08	2.305	19
2 1 1	45.07	2.011	19
2 1 3	53.64	1.709	63
2 2 0	56.45	1.630	16
3 0 3	68.34	1.373	19



[4]
The following is a simulated powder X-ray diffraction pattern of Sc2CrReO6. It was derived from a structure optimized by DFT (PBE+U), using a wavelength of 1.5418 Å.
Peak positions follow from Bragg's law for the DFT cell and can differ from measured ones.

Cell and atoms:
Cell: 7.738 7.738 7.738 Å, 90.00 90.00 90.00°
Space group Fm-3m (No. 225)
Symmetry-distinct sites (fractional):
Sc  0.250  0.250  0.250
Cr  0.000  0.000  0.000
Re  0.000  0.000  0.500
O  0.000  0.000  0.248

Peak list (10 most intense, 10 to 90 degrees two-theta, in order of rising 2θ)
h k l	two_theta	d (Å)	intensity
1 1 1	19.87	4.467	42
2 0 0	22.99	3.869	47
2 2 0	32.74	2.736	100
3 1 1	38.59	2.333	25
4 0 0	46.97	1.934	36
3 3 1	51.48	1.775	12
4 2 0	52.92	1.730	19
4 2 2	58.43	1.579	38
4 4 0	68.61	1.368	21
6 2 0	78.12	1.223	16



[5]
The following is a simulated powder X-ray diffraction pattern of CrRhO3. It was derived from a structure optimized by DFT (PBE+U), using a wavelength of 1.5418 Å.
Peak positions follow from Bragg's law for the DFT cell and can differ from measured ones.

Cell and atoms:
Cell: 3.917 3.917 3.917 Å, 90.00 90.00 90.00°
Space group Pm-3m (No. 221)
Symmetry-distinct sites (fractional):
Cr  0.000  0.000  0.000
Rh  0.500  0.500  0.500
O  0.000  0.500  0.500

Peak list (9 most intense, 10 to 90 degrees two-theta, in order of rising 2θ)
h k l	two_theta	d (Å)	intensity
1 0 0	22.70	3.917	29
1 1 0	32.32	2.770	100
2 0 0	46.36	1.958	36
2 1 0	52.22	1.752	12
2 1 1	57.65	1.599	37
2 2 0	67.65	1.385	21
3 0 0	72.38	1.306	5
3 1 0	76.98	1.239	15
2 2 2	85.97	1.131	7



[6]
The following is a simulated powder X-ray diffraction pattern of CrS2O8. It was derived from a structure optimized by DFT (PBE+U), using a wavelength of 1.5418 Å.
Peak positions follow from Bragg's law for the DFT cell and can differ from measured ones.

Cell and atoms:
Cell: 8.2930 8.2930 22.2821 Å, 90.00 90.00 120.00°
Space group R3 (No. 146, hexagonal axes)
Symmetry-distinct sites (fractional):
Cr  0.0000  0.0000  0.0000
Cr  0.0000  0.0000  0.2066
Cr  0.0000  0.0000  0.5057
S  0.0031  0.2908  0.6065
S  0.0415  0.6689  0.7740
O  0.0097  0.8028  0.0500
O  0.0345  0.2047  0.9434
O  0.0819  0.2272  0.2563
O  0.0816  0.2271  0.5570
O  0.1388  0.4624  0.3289
O  0.1603  0.7024  0.4363
O  0.1909  0.7462  0.8216
O  0.1945  0.7583  0.1220

Peak list (10 most intense, 10 to 90 degrees two-theta, in order of rising 2θ)
h k l	two_theta	d (Å)	intensity
0 1 2	14.67	6.036	46
1 0 4	20.17	4.402	24
0 0 6	23.96	3.714	10
2 -1 3	24.59	3.621	100
0 2 4	29.60	3.018	25
1 1 6	32.36	2.766	33
3 -1 1	33.25	2.695	13
0 3 3	39.55	2.279	9
2 2 6	50.41	1.810	8
3 -1 10	53.19	1.722	11



[7]
The following is a simulated powder X-ray diffraction pattern of CrSO4. It was derived from a structure optimized by DFT (PBE+U), using a wavelength of 1.5418 Å.
Peak positions follow from Bragg's law for the DFT cell and can differ from measured ones.

Cell and atoms:
Cell: 8.647 7.121 4.978 Å, 90.00 90.00 90.00°
Space group Pnma (No. 62)
Symmetry-distinct sites (fractional):
Cr  0.000  0.000  0.000
S  0.182  0.250  0.465
O  0.130  0.077  0.328
O  0.133  0.250  0.748
O  0.141  0.750  0.954

Peak list (10 most intense, 10 to 90 degrees two-theta, in order of rising 2θ)
h k l	two_theta	d (Å)	intensity
1 0 1	20.58	4.316	40
1 1 1	24.11	3.692	100
2 2 0	32.59	2.748	77
3 0 1	36.02	2.493	44
2 2 1	37.37	2.406	9
3 2 1	44.34	2.043	11
2 2 2	49.37	1.846	30
0 4 0	51.32	1.780	9
5 2 1	62.57	1.484	20
0 4 2	64.30	1.449	13



Please write out number 7 again, unchanged.
The following is a simulated powder X-ray diffraction pattern of CrSO4. It was derived from a structure optimized by DFT (PBE+U), using a wavelength of 1.5418 Å.
Peak positions follow from Bragg's law for the DFT cell and can differ from measured ones.

Cell and atoms:
Cell: 8.647 7.121 4.978 Å, 90.00 90.00 90.00°
Space group Pnma (No. 62)
Symmetry-distinct sites (fractional):
Cr  0.000  0.000  0.000
S  0.182  0.250  0.465
O  0.130  0.077  0.328
O  0.133  0.250  0.748
O  0.141  0.750  0.954

Peak list (10 most intense, 10 to 90 degrees two-theta, in order of rising 2θ)
h k l	two_theta	d (Å)	intensity
1 0 1	20.58	4.316	40
1 1 1	24.11	3.692	100
2 2 0	32.59	2.748	77
3 0 1	36.02	2.493	44
2 2 1	37.37	2.406	9
3 2 1	44.34	2.043	11
2 2 2	49.37	1.846	30
0 4 0	51.32	1.780	9
5 2 1	62.57	1.484	20
0 4 2	64.30	1.449	13